(1)
Starting from the GGA-PBE geometry in Alexandria, the X-ray diffraction stick pattern of NdThGa2Pd5 was simulated for Cu Kα (weighted mean of Kα1 and Kα2).

Crystal structure
a = 4.351 Å, b = 4.351 Å, c = 9.070 Å
α = 90.00°, β = 90.00°, γ = 90.00°
Space group P4/mmm (No. 123)
Inequivalent atoms, fractional coordinates:
Nd1 0.000 0.000 0.000
Th1 0.000 0.000 0.500
Ga1 0.500 0.500 0.361
Pd1 0.000 0.500 0.227
Pd2 0.500 0.500 0.000

Most intense lines, 10° ≤ 2θ ≤ 80°, by angle:
- 2θ = 28.43°, 3.140 Å, rel. 19, (1 0 2)
- 2θ = 35.25°, 2.546 Å, rel. 100, (1 1 2)
- 2θ = 36.18°, 2.483 Å, rel. 12, (1 0 3)
- 2θ = 39.75°, 2.267 Å, rel. 12, (0 0 4)
- 2θ = 41.51°, 2.176 Å, rel. 47, (2 0 0)
- 2θ = 41.89°, 2.156 Å, rel. 9, (1 1 3)
- 2θ = 45.09°, 2.011 Å, rel. 11, (1 0 4)
- 2θ = 58.82°, 1.570 Å, rel. 15, (2 0 4)
- 2θ = 60.15°, 1.538 Å, rel. 16, (2 2 0)
- 2θ = 62.94°, 1.477 Å, rel. 8, (2 1 4)
- 2θ = 69.25°, 1.357 Å, rel. 13, (1 1 6)
- 2θ = 71.68°, 1.317 Å, rel. 25, (3 1 2)

=====

(2)
Starting from the GGA-PBE geometry in Alexandria, the X-ray diffraction stick pattern of NdZnGa5Pd2 was simulated for Cu Kα (weighted mean of Kα1 and Kα2).

Crystal structure
a = 4.282 Å, b = 4.282 Å, c = 10.427 Å
α = 90.00°, β = 90.00°, γ = 90.00°
Space group P4/mmm (No. 123)
Inequivalent atoms, fractional coordinates:
Nd1 0.000 0.000 0.000
Zn1 0.000 0.000 0.500
Ga1 0.000 0.500 0.348
Ga2 0.500 0.500 0.000
Pd1 0.500 0.500 0.226

Most intense lines, 10° ≤ 2θ ≤ 80°, by angle:
- 2θ = 25.63°, 3.476 Å, rel. 26, (0 0 3)
- 2θ = 26.94°, 3.309 Å, rel. 100, (1 0 2)
- 2θ = 29.50°, 3.028 Å, rel. 15, (1 1 0)
- 2θ = 30.75°, 2.908 Å, rel. 71, (1 1 1)
- 2θ = 34.25°, 2.618 Å, rel. 14, (1 1 2)
- 2θ = 39.47°, 2.283 Å, rel. 16, (1 1 3)
- 2θ = 42.21°, 2.141 Å, rel. 78, (2 0 0)
- 2θ = 45.94°, 1.976 Å, rel. 92, (1 1 4)
- 2θ = 50.04°, 1.823 Å, rel. 16, (2 0 3)
- 2θ = 50.79°, 1.798 Å, rel. 34, (2 1 2)
- 2θ = 61.22°, 1.514 Å, rel. 25, (2 2 0)
- 2θ = 79.81°, 1.202 Å, rel. 35, (3 1 4)

=====

(3)
Starting from the GGA-PBE geometry in Alexandria, the X-ray diffraction stick pattern of Pm2Nd3Ga3 was simulated for Cu Kα (weighted mean of Kα1 and Kα2).

Crystal structure
a = 3.765 Å, b = 5.282 Å, c = 22.243 Å
α = 90.00°, β = 90.00°, γ = 90.00°
Space group Immm (No. 71)
Inequivalent atoms, fractional coordinates:
Pm1 0.000 0.000 0.227
Nd1 0.000 0.000 0.000
Nd2 0.000 0.500 0.116
Ga1 0.000 0.000 0.500
Ga2 0.000 0.500 0.382

Most intense lines, 10° ≤ 2θ ≤ 80°, by angle:
- 2θ = 23.98°, 3.711 Å, rel. 8, (1 0 1)
- 2θ = 26.19°, 3.403 Å, rel. 18, (0 1 5)
- 2θ = 32.19°, 2.780 Å, rel. 19, (0 0 8)
- 2θ = 33.37°, 2.685 Å, rel. 100, (1 1 4)
- 2θ = 33.94°, 2.641 Å, rel. 27, (0 2 0)
- 2θ = 43.82°, 2.066 Å, rel. 7, (1 0 9)
- 2θ = 47.48°, 1.915 Å, rel. 13, (0 2 8)
- 2θ = 48.35°, 1.882 Å, rel. 10, (2 0 0)
- 2θ = 56.55°, 1.627 Å, rel. 10, (0 1 13)
- 2θ = 59.29°, 1.559 Å, rel. 7, (2 0 8)
- 2θ = 60.38°, 1.533 Å, rel. 28, (2 2 0)
- 2θ = 70.10°, 1.342 Å, rel. 8, (2 2 8)

=====

(4)
Starting from the GGA-PBE geometry in Alexandria, the X-ray diffraction stick pattern of Pm2Nd2Ga4Si was simulated for Cu Kα (weighted mean of Kα1 and Kα2).

Crystal structure
a = 7.107 Å, b = 7.107 Å, c = 8.893 Å
α = 90.00°, β = 90.00°, γ = 90.00°
Space group I4/mmm (No. 139)
Inequivalent atoms, fractional coordinates:
Pm1 0.000 0.000 0.192
Nd1 0.000 0.500 0.250
Ga1 0.243 0.243 0.500
Si1 0.000 0.000 0.500

Most intense lines, 10° ≤ 2θ ≤ 80°, by angle:
- 2θ = 25.06°, 3.554 Å, rel. 16, (2 0 0)
- 2θ = 32.25°, 2.776 Å, rel. 100, (2 0 2)
- 2θ = 32.73°, 2.736 Å, rel. 15, (1 0 3)
- 2θ = 35.73°, 2.513 Å, rel. 52, (2 2 0)
- 2θ = 40.58°, 2.223 Å, rel. 9, (0 0 4)
- 2θ = 41.66°, 2.168 Å, rel. 13, (2 1 3)
- 2θ = 51.43°, 1.777 Å, rel. 18, (4 0 0)
- 2θ = 55.16°, 1.665 Å, rel. 15, (2 2 4)
- 2θ = 56.03°, 1.641 Å, rel. 7, (3 2 3)
- 2θ = 62.02°, 1.496 Å, rel. 30, (4 2 2)
- 2θ = 67.48°, 1.388 Å, rel. 8, (4 0 4)
- 2θ = 77.07°, 1.237 Å, rel. 8, (3 1 6)

=====

(5)
Starting from the GGA-PBE geometry in Alexandria, the X-ray diffraction stick pattern of PmNdTlGa was simulated for Cu Kα (weighted mean of Kα1 and Kα2).

Crystal structure
a = 3.737 Å, b = 3.737 Å, c = 7.804 Å
α = 90.00°, β = 90.00°, γ = 90.00°
Space group P4mm (No. 99)
Inequivalent atoms, fractional coordinates:
Pm1 0.000 0.000 0.000
Nd1 0.000 0.000 0.534
Tl1 0.500 0.500 0.264
Ga1 0.500 0.500 0.769

Most intense lines, 10° ≤ 2θ ≤ 80°, by angle:
- 2θ = 11.34°, 7.804 Å, rel. 8, (0 0 1)
- 2θ = 26.44°, 3.371 Å, rel. 14, (1 0 1)
- 2θ = 33.19°, 2.699 Å, rel. 100, (1 0 2)
- 2θ = 33.92°, 2.643 Å, rel. 48, (1 1 0)
- 2θ = 46.55°, 1.951 Å, rel. 9, (0 0 4)
- 2θ = 48.73°, 1.869 Å, rel. 18, (2 0 0)
- 2θ = 49.15°, 1.854 Å, rel. 5, (1 1 3)
- 2θ = 58.83°, 1.570 Å, rel. 18, (1 1 4)
- 2θ = 60.24°, 1.536 Å, rel. 36, (2 1 2)
- 2θ = 69.68°, 1.350 Å, rel. 11, (2 0 4)
- 2θ = 71.39°, 1.321 Å, rel. 6, (2 2 0)
- 2θ = 77.74°, 1.228 Å, rel. 7, (1 0 6)

=====

(6)
Starting from the GGA-PBE geometry in Alexandria, the X-ray diffraction stick pattern of Pm3Nd3Tl2Ga was simulated for Cu Kα (weighted mean of Kα1 and Kα2).

Crystal structure
a = 9.0382 Å, b = 9.0382 Å, c = 3.8678 Å
α = 90.00°, β = 90.00°, γ = 120.00°
Space group P-62m (No. 189)
Inequivalent atoms, fractional coordinates:
Pm1 0.0000 0.2676 0.0000
Nd1 0.0000 0.6104 0.5000
Tl1 0.3333 0.6667 0.0000
Ga1 0.0000 0.0000 0.5000

Most intense lines, 10° ≤ 2θ ≤ 80°, by angle:
- 2θ = 30.21°, 2.958 Å, rel. 46, (2 1 0)
- 2θ = 30.42°, 2.938 Å, rel. 100, (1 1 1)
- 2θ = 32.55°, 2.751 Å, rel. 57, (2 0 1)
- 2θ = 34.37°, 2.609 Å, rel. 67, (3 0 0)
- 2θ = 38.30°, 2.350 Å, rel. 29, (2 1 1)
- 2θ = 46.55°, 1.951 Å, rel. 11, (2 2 1)
- 2θ = 46.99°, 1.934 Å, rel. 17, (0 0 2)
- 2θ = 56.50°, 1.629 Å, rel. 34, (3 2 1)
- 2θ = 56.88°, 1.619 Å, rel. 16, (2 1 2)
- 2θ = 59.13°, 1.562 Å, rel. 15, (4 1 1)
- 2θ = 59.50°, 1.554 Å, rel. 28, (3 0 2)
- 2θ = 64.18°, 1.451 Å, rel. 11, (5 0 1)

=====

(7)
Starting from the GGA-PBE geometry in Alexandria, the X-ray diffraction stick pattern of Pr3NdGa4 was simulated for Cu Kα (weighted mean of Kα1 and Kα2).

Crystal structure
a = 3.718 Å, b = 3.718 Å, c = 14.879 Å
α = 90.00°, β = 90.00°, γ = 90.00°
Space group P4/mmm (No. 123)
Inequivalent atoms, fractional coordinates:
Pr1 0.000 0.000 0.000
Pr2 0.000 0.000 0.251
Nd1 0.000 0.000 0.500
Ga1 0.500 0.500 0.126
Ga2 0.500 0.500 0.377

Most intense lines, 10° ≤ 2θ ≤ 80°, by angle:
- 2θ = 23.93°, 3.719 Å, rel. 13, (1 0 0)
- 2θ = 34.10°, 2.630 Å, rel. 100, (1 1 0)
- 2θ = 42.08°, 2.147 Å, rel. 4, (1 1 4)
- 2θ = 48.99°, 1.859 Å, rel. 18, (2 0 0)
- 2θ = 55.23°, 1.663 Å, rel. 5, (1 0 8)
- 2θ = 61.03°, 1.518 Å, rel. 37, (2 1 4)
- 2θ = 71.79°, 1.315 Å, rel. 11, (2 2 0)
- 2θ = 76.91°, 1.240 Å, rel. 3, (0 0 12)

=====

(8)
Starting from the GGA-PBE geometry in Alexandria, the X-ray diffraction stick pattern of Pr3Nd3Ga2 was simulated for Cu Kα (weighted mean of Kα1 and Kα2).

Crystal structure
a = 21.726 Å, b = 4.061 Å, c = 6.047 Å
α = 90.00°, β = 106.12°, γ = 90.00°
Space group C2/m (No. 12)
Inequivalent atoms, fractional coordinates:
Pr1 0.000 0.000 0.000
Pr2 0.165 0.000 0.535
Nd1 0.000 0.500 0.500
Nd2 0.133 0.500 0.000
Ga1 0.241 0.000 0.142

Most intense lines, 10° ≤ 2θ ≤ 80°, by angle:
- 2θ = 25.61°, 3.479 Å, rel. 22, (6 0 0)
- 2θ = 27.81°, 3.208 Å, rel. 60, (3 1 -1)
- 2θ = 30.77°, 2.906 Å, rel. 47, (0 0 2)
- 2θ = 31.59°, 2.832 Å, rel. 100, (3 1 1)
- 2θ = 33.51°, 2.674 Å, rel. 9, (8 0 -1)
- 2θ = 34.29°, 2.615 Å, rel. 18, (6 0 -2)
- 2θ = 34.37°, 2.609 Å, rel. 12, (8 0 0)
- 2θ = 43.89°, 2.063 Å, rel. 14, (9 1 -1)
- 2θ = 44.63°, 2.031 Å, rel. 18, (0 2 0)
- 2θ = 50.56°, 1.805 Å, rel. 12, (3 1 -3)
- 2θ = 55.19°, 1.664 Å, rel. 14, (0 2 2)
- 2θ = 57.49°, 1.603 Å, rel. 28, (3 1 3)

=====

(9)
Starting from the GGA-PBE geometry in Alexandria, the X-ray diffraction stick pattern of PrNdGa2Pt2 was simulated for Cu Kα (weighted mean of Kα1 and Kα2).

Crystal structure
a = 4.4751 Å, b = 4.4751 Å, c = 7.6260 Å
α = 90.00°, β = 90.00°, γ = 120.00°
Space group P-3m1 (No. 164)
Inequivalent atoms, fractional coordinates:
Pr1 0.0000 0.0000 0.0000
Nd1 0.0000 0.0000 0.5000
Ga1 0.3333 0.6667 0.7463
Pt1 0.3333 0.6667 0.2537

Most intense lines, 10° ≤ 2θ ≤ 80°, by angle:
- 2θ = 23.33°, 3.813 Å, rel. 8, (0 0 2)
- 2θ = 25.79°, 3.455 Å, rel. 25, (0 1 1)
- 2θ = 32.95°, 2.718 Å, rel. 100, (1 0 2)
- 2θ = 40.31°, 2.238 Å, rel. 63, (1 1 0)
- 2θ = 42.53°, 2.126 Å, rel. 7, (0 1 3)
- 2θ = 47.09°, 1.930 Å, rel. 7, (1 1 2)
- 2θ = 47.70°, 1.906 Å, rel. 13, (0 0 4)
- 2θ = 53.01°, 1.728 Å, rel. 26, (0 2 2)
- 2θ = 64.18°, 1.451 Å, rel. 32, (1 1 4)
- 2θ = 68.64°, 1.367 Å, rel. 24, (2 1 2)
- 2θ = 73.28°, 1.292 Å, rel. 11, (3 0 0)
- 2θ = 79.33°, 1.208 Å, rel. 8, (1 0 6)

=====

(10)
Starting from the GGA-PBE geometry in Alexandria, the X-ray diffraction stick pattern of PrNdGaRu was simulated for Cu Kα (weighted mean of Kα1 and Kα2).

Crystal structure
a = 4.400 Å, b = 4.108 Å, c = 11.132 Å
α = 90.00°, β = 90.00°, γ = 90.00°
Space group Amm2 (No. 38)
Inequivalent atoms, fractional coordinates:
Pr1 0.000 0.000 0.000
Nd1 0.500 0.000 0.721
Ga1 0.500 0.000 0.425
Ru1 0.000 0.000 0.301

Most intense lines, 10° ≤ 2θ ≤ 80°, by angle:
- 2θ = 25.81°, 3.452 Å, rel. 24, (1 0 2)
- 2θ = 30.84°, 2.899 Å, rel. 100, (1 1 1)
- 2θ = 32.16°, 2.783 Å, rel. 19, (0 0 4)
- 2θ = 32.51°, 2.754 Å, rel. 54, (0 1 3)
- 2θ = 38.27°, 2.352 Å, rel. 26, (1 0 4)
- 2θ = 38.57°, 2.334 Å, rel. 60, (1 1 3)
- 2θ = 41.03°, 2.200 Å, rel. 30, (2 0 0)
- 2θ = 44.08°, 2.054 Å, rel. 24, (0 2 0)
- 2θ = 53.30°, 1.719 Å, rel. 27, (2 1 3)
- 2θ = 53.61°, 1.710 Å, rel. 18, (1 0 6)
- 2θ = 61.79°, 1.501 Å, rel. 17, (2 2 0)
- 2θ = 77.65°, 1.230 Å, rel. 16, (2 1 7)

=====

(11)
Starting from the GGA-PBE geometry in Alexandria, the X-ray diffraction stick pattern of Nd3Ga6Pt5 was simulated for Cu Kα (weighted mean of Kα1 and Kα2).

Crystal structure
a = 4.351 Å, b = 13.114 Å, c = 9.367 Å
α = 90.00°, β = 90.00°, γ = 90.00°
Space group Pmmn (No. 59, origin choice 2)
Inequivalent atoms, fractional coordinates:
Nd1 0.250 0.052 0.249
Nd2 0.250 0.750 0.252
Ga1 0.250 0.071 0.905
Ga2 0.250 0.250 0.075
Ga3 0.250 0.250 0.457
Ga4 0.250 0.597 0.523
Pt1 0.250 0.093 0.626
Pt2 0.250 0.634 0.969
Pt3 0.250 0.750 0.706

Most intense lines, 10° ≤ 2θ ≤ 80°, by angle:
- 2θ = 23.54°, 3.779 Å, rel. 18, (1 1 1)
- 2θ = 27.94°, 3.193 Å, rel. 20, (0 3 2)
- 2θ = 28.95°, 3.084 Å, rel. 31, (1 3 0)
- 2θ = 33.36°, 2.686 Å, rel. 34, (0 4 2)
- 2θ = 34.83°, 2.576 Å, rel. 100, (1 3 2)
- 2θ = 35.37°, 2.538 Å, rel. 59, (1 0 3)
- 2θ = 38.03°, 2.366 Å, rel. 25, (1 2 3)
- 2θ = 41.32°, 2.185 Å, rel. 33, (0 6 0)
- 2θ = 41.50°, 2.176 Å, rel. 58, (2 0 0)
- 2θ = 44.48°, 2.037 Å, rel. 24, (1 1 4)
- 2θ = 45.18°, 2.007 Å, rel. 21, (1 4 3)
- 2θ = 54.25°, 1.691 Å, rel. 18, (2 4 2)

=====

(12)
Starting from the GGA-PBE geometry in Alexandria, the X-ray diffraction stick pattern of NdGaPt3 was simulated for Cu Kα (weighted mean of Kα1 and Kα2).

Crystal structure
a = 6.305 Å, b = 6.324 Å, c = 5.269 Å
α = 90.00°, β = 90.00°, γ = 90.00°
Space group Pbam (No. 55)
Inequivalent atoms, fractional coordinates:
Nd1 0.000 0.000 0.000
Ga1 0.000 0.500 0.500
Pt1 0.000 0.500 0.000
Pt2 0.149 0.150 0.500

Most intense lines, 10° ≤ 2θ ≤ 80°, by angle:
- 2θ = 28.27°, 3.157 Å, rel. 45, (2 0 0)
- 2θ = 31.69°, 2.824 Å, rel. 67, (2 1 0)
- 2θ = 33.08°, 2.708 Å, rel. 98, (0 2 1)
- 2θ = 34.03°, 2.634 Å, rel. 100, (0 0 2)
- 2θ = 36.09°, 2.489 Å, rel. 94, (2 1 1)
- 2θ = 40.40°, 2.232 Å, rel. 39, (2 2 0)
- 2θ = 44.81°, 2.023 Å, rel. 26, (2 0 2)
- 2θ = 47.18°, 1.926 Å, rel. 45, (2 1 2)
- 2θ = 53.83°, 1.703 Å, rel. 34, (2 2 2)
- 2θ = 57.95°, 1.591 Å, rel. 32, (1 3 2)
- 2θ = 60.31°, 1.535 Å, rel. 20, (0 2 3)
- 2θ = 61.40°, 1.510 Å, rel. 20, (4 0 1)